No. 1
The following is a simulated powder XRD pattern of Dy2HoTm12. It was derived from a DFT-relaxed cell (PBE, Alexandria), using Cu Kα (λ = 1.5418 Å).
Intensities are scaled so that the largest is 100.

Unit cell a=3.519 b=5.488 c=23.852 alpha=96.52 beta=94.16 gamma=90.02
Space group P-1 (No. 2)
Symmetry-distinct sites (fractional):
Dy 0.138 0.136 0.277 (multiplicity 2)
Ho 0.000 0.000 0.000 (multiplicity 1)
Tm 0.094 0.593 0.190 (multiplicity 2)
Tm 0.227 0.725 0.457 (multiplicity 2)
Tm 0.300 0.802 0.597 (multiplicity 2)
Tm 0.340 0.341 0.677 (multiplicity 2)
Tm 0.428 0.930 0.857 (multiplicity 2)
Tm 0.468 0.468 0.934 (multiplicity 2)

Main lines, by angle (2θ from 15° to 90°):
(1 0 4), 2θ 30.58, rel. 32
(1 1 -4), 2θ 32.28, rel. 87
(0 2 -1), 2θ 32.63, rel. 59
(0 1 -8), 2θ 32.77, rel. 100
(1 1 4), 2θ 35.77, rel. 29
(2 2 -2), 2θ 62.75, rel. 34

No. 2
The following is a simulated powder XRD pattern of Dy6HoTm2. It was derived from a DFT-relaxed cell (PBE, Alexandria), using Cu Kα (λ = 1.5418 Å).
Intensities are scaled so that the largest is 100.

Unit cell a=3.523 b=8.614 c=9.310 alpha=90.00 beta=79.16 gamma=89.95
Space group P-1 (No. 2)
Symmetry-distinct sites (fractional):
Dy 0.111 0.334 0.279 (multiplicity 2)
Dy 0.222 0.666 0.057 (multiplicity 2)
Dy 0.333 0.000 0.833 (multiplicity 2)
Ho 0.000 0.000 0.500 (multiplicity 1)
Tm 0.444 0.333 0.610 (multiplicity 2)

Main lines, by angle (2θ from 15° to 90°):
(1 1 2), 2θ 31.12, rel. 100
(0 2 3), 2θ 36.09, rel. 51
(2 0 1), 2θ 51.96, rel. 36
(1 3 5), 2θ 61.83, rel. 36
(2 1 7), 2θ 84.97, rel. 10
(1 6 5), 2θ 87.71, rel. 10